No. 1
For Cs3NdSm2Te6, DFT lattice parameters and positions (PBE) gives the computed X-ray diffraction stick pattern in this record (λ = 1.5418 Å (Cu Kα)).
Kinematic intensities with the Lorentz-polarization factor, no thermal factor.

Principal peaks in the range 10° ≤ 2θ ≤ 90°, most intense first:
- 3.451 Å, rel. 100
- 2.323 Å, rel. 38
- 2.576 Å, rel. 33
- 1.927 Å, rel. 19
- 1.483 Å, rel. 16
- 1.611 Å, rel. 10
- 1.725 Å, rel. 10
- 1.385 Å, rel. 9
- 2.775 Å, rel. 9
- 2.234 Å, rel. 8
- 2.086 Å, rel. 7
- 1.341 Å, rel. 6

Cell and atoms:
```
Cs3NdSm2Te6
1.0
4.024 -6.969 0.000
4.024 6.969 0.000
-2.685 0.000 8.944
Cs Nd Sm Te
3 1 2 6
Direct
0.000 0.000 0.000 Cs
0.334 0.666 0.000 Cs
0.666 0.334 0.000 Cs
0.500 0.500 0.500 Nd
0.167 0.833 0.500 Sm
0.833 0.167 0.500 Sm
0.099 0.435 0.306 Te
0.228 0.228 0.694 Te
0.435 0.099 0.306 Te
0.565 0.901 0.694 Te
0.772 0.772 0.306 Te
0.901 0.565 0.694 Te
```

No. 2
For CsNi2, DFT lattice parameters and positions (PBE) gives the computed X-ray diffraction stick pattern in this record (λ = 1.5418 Å (Cu Kα)).
Kinematic intensities with the Lorentz-polarization factor, no thermal factor.

Principal peaks in the range 10° ≤ 2θ ≤ 90°, most intense first:
- 4.255 Å, rel. 100
- 2.652 Å, rel. 81
- 3.797 Å, rel. 69
- 1.986 Å, rel. 61
- 3.495 Å, rel. 61
- 2.621 Å, rel. 50
- 3.065 Å, rel. 50
- 2.643 Å, rel. 45
- 1.746 Å, rel. 40
- 2.037 Å, rel. 31
- 1.608 Å, rel. 31
- 2.802 Å, rel. 29

Cell and atoms:
```
CsNi2
1.0
4.655 0.000 0.000
0.000 4.073 0.000
-0.051 0.000 10.486
Cs Ni
2 4
Direct
0.249 0.000 0.232 Cs
0.751 0.500 0.768 Cs
0.126 0.504 0.498 Ni
0.377 0.004 0.533 Ni
0.623 0.504 0.467 Ni
0.874 0.004 0.502 Ni
```

No. 3
For CsNpNiS4, DFT lattice parameters and positions (PBE) gives the computed X-ray diffraction stick pattern in this record (λ = 1.5418 Å (Cu Kα)).
Kinematic intensities with the Lorentz-polarization factor, no thermal factor.

Principal peaks in the range 10° ≤ 2θ ≤ 90°, most intense first:
- 2.860 Å, rel. 100
- 4.222 Å, rel. 88
- 3.435 Å, rel. 56
- 3.582 Å, rel. 40
- 2.986 Å, rel. 38
- 2.111 Å, rel. 38
- 4.592 Å, rel. 34
- 2.647 Å, rel. 33
- 2.428 Å, rel. 29
- 1.825 Å, rel. 28
- 1.991 Å, rel. 28
- 3.127 Å, rel. 28

Cell and atoms:
```
CsNpNiS4
1.0
6.494 0.000 0.000
0.000 5.722 0.000
-2.568 0.000 9.185
Cs Np Ni S
2 2 2 8
Direct
0.244 0.250 0.047 Cs
0.756 0.750 0.953 Cs
0.259 0.250 0.550 Np
0.741 0.750 0.450 Np
0.234 0.750 0.354 Ni
0.766 0.250 0.646 Ni
0.015 0.515 0.688 S
0.015 0.985 0.688 S
0.429 0.750 0.579 S
0.451 0.750 0.208 S
0.549 0.250 0.792 S
0.571 0.250 0.421 S
0.985 0.015 0.312 S
0.985 0.485 0.312 S
```